No. 1
For Y2MgPdO, a GGA-PBE-relaxed structure gives the simulated powder diffraction line list in this record (Cu Ka).
Neutral-atom scattering factors, no anomalous dispersion.

Atomic structure:
Lattice parameters (Å, degrees): 4.787 4.787 4.136 90.00 90.00 90.00
Sites, in units of the cell vectors:
Y  0.000  0.500  0.000
Y  0.500  0.000  0.000
Mg  0.000  0.000  0.500
Pd  0.500  0.500  0.500
O  0.000  0.000  0.000

Principal peaks in the range 10 to 90 degrees two-theta, most intense first:
34.2°, I 100; 37.6°, I 48; 65.7°, I 29; 59.0°, I 25; 28.5°, I 18; 43.8°, I 17; 54.2°, I 16; 72.1°, I 13; 18.5°, I 11; 47.9°, I 10; 74.3°, I 10; 80.2°, I 5

No. 2
For PmPr4Sn15, a GGA-PBE-relaxed structure gives the simulated powder diffraction line list in this record (Cu Ka).
Neutral-atom scattering factors, no anomalous dispersion.

Atomic structure:
Lattice parameters (Å, degrees): 4.715 4.715 24.681 90.00 90.00 90.00
Sites, in units of the cell vectors:
Pm  0.000  0.000  0.000
Pr  0.000  0.000  0.200
Pr  0.000  0.000  0.400
Pr  0.000  0.000  0.600
Pr  0.000  0.000  0.800
Sn  0.000  0.500  0.099
Sn  0.000  0.500  0.300
Sn  0.000  0.500  0.500
Sn  0.000  0.500  0.700
Sn  0.000  0.500  0.901
Sn  0.500  0.000  0.099
Sn  0.500  0.000  0.300
Sn  0.500  0.000  0.500
Sn  0.500  0.000  0.700
Sn  0.500  0.000  0.901
Sn  0.500  0.500  0.000
Sn  0.500  0.500  0.199
Sn  0.500  0.500  0.400
Sn  0.500  0.500  0.600
Sn  0.500  0.500  0.801

Principal peaks in the range 10 to 90 degrees two-theta, most intense first:
32.4°, I 100; 38.2°, I 32; 65.4°, I 28; 53.8°, I 24; 36.4°, I 18; 63.0°, I 15; 88.5°, I 13; 67.8°, I 12; 55.1°, I 11; 89.7°, I 6; 81.7°, I 4; 77.3°, I 2

No. 3
For BaCaNdNbO6, a GGA-PBE-relaxed structure gives the simulated powder diffraction line list in this record (Cu Ka).
Neutral-atom scattering factors, no anomalous dispersion.

Atomic structure:
Lattice parameters (Å, degrees): 6.110 6.110 6.110 60.00 60.00 60.00
Sites, in units of the cell vectors:
Ba  0.000  0.000  0.000
Ca  0.500  0.500  0.500
Nd  0.750  0.750  0.750
Nb  0.250  0.250  0.250
O  0.017  0.017  0.483
O  0.017  0.483  0.017
O  0.017  0.483  0.483
O  0.483  0.017  0.017
O  0.483  0.017  0.483
O  0.483  0.483  0.017

Principal peaks in the range 10 to 90 degrees two-theta, most intense first:
29.2°, I 100; 51.8°, I 40; 41.8°, I 33; 83.8°, I 21; 60.6°, I 20; 68.7°, I 18; 17.8°, I 13; 34.4°, I 9; 20.6°, I 9; 76.4°, I 6; 45.8°, I 5; 47.0°, I 3

No. 4
For RuCl3F6, a GGA-PBE-relaxed structure gives the simulated powder diffraction line list in this record (Cu Ka).
Neutral-atom scattering factors, no anomalous dispersion.

Atomic structure:
Lattice parameters (Å, degrees): 6.356 6.356 6.124 90.88 90.88 58.04
Sites, in units of the cell vectors:
Ru  0.000  0.000  0.000
Cl  0.311  0.311  0.574
Cl  0.500  0.500  0.500
Cl  0.689  0.689  0.426
F  0.070  0.070  0.282
F  0.107  0.676  0.087
F  0.324  0.893  0.913
F  0.676  0.107  0.087
F  0.893  0.324  0.913
F  0.930  0.930  0.718

Principal peaks in the range 10 to 90 degrees two-theta, most intense first:
22.1°, I 100; 21.9°, I 81; 15.9°, I 50; 16.4°, I 43; 21.4°, I 27; 28.1°, I 27; 36.3°, I 25; 47.8°, I 23; 29.2°, I 23; 29.0°, I 22; 33.7°, I 21; 45.6°, I 20

No. 5
For Zr6Tc5Sn, a GGA-PBE-relaxed structure gives the simulated powder diffraction line list in this record (Cu Ka).
Neutral-atom scattering factors, no anomalous dispersion.

Atomic structure:
Lattice parameters (Å, degrees): 8.151 8.151 8.151 146.65 130.97 60.59
Sites, in units of the cell vectors:
Zr  0.069  0.328  0.742
Zr  0.231  0.000  0.231
Zr  0.414  0.672  0.742
Zr  0.586  0.328  0.258
Zr  0.769  0.000  0.769
Zr  0.931  0.672  0.258
Tc  0.000  0.500  0.500
Tc  0.168  0.168  0.000
Tc  0.338  0.838  0.500
Tc  0.662  0.162  0.500
Tc  0.832  0.832  0.000
Sn  0.500  0.500  0.000

Principal peaks in the range 10 to 90 degrees two-theta, most intense first:
38.0°, I 100; 38.5°, I 25; 38.4°, I 24; 69.3°, I 16; 68.4°, I 16; 55.5°, I 16; 69.2°, I 16; 81.3°, I 10; 54.2°, I 8; 82.5°, I 3; 82.2°, I 2; 34.5°, I 1

No. 6
For NdCd2Ni9, a GGA-PBE-relaxed structure gives the simulated powder diffraction line list in this record (Cu Ka).
Neutral-atom scattering factors, no anomalous dispersion.

Atomic structure:
Lattice parameters (Å, degrees): 4.938 4.938 15.823 90.00 90.00 120.00
Sites, in units of the cell vectors:
Nd  0.333  0.667  0.250
Nd  0.667  0.333  0.750
Cd  0.333  0.667  0.034
Cd  0.333  0.667  0.466
Cd  0.667  0.333  0.534
Cd  0.667  0.333  0.966
Ni  0.000  0.000  0.000
Ni  0.000  0.000  0.250
Ni  0.000  0.000  0.500
Ni  0.000  0.000  0.750
Ni  0.167  0.335  0.624
Ni  0.167  0.335  0.876
Ni  0.167  0.833  0.624
Ni  0.167  0.833  0.876
Ni  0.333  0.667  0.750
Ni  0.335  0.167  0.124
Ni  0.335  0.167  0.376
Ni  0.665  0.833  0.624
Ni  0.665  0.833  0.876
Ni  0.667  0.333  0.250
Ni  0.833  0.167  0.124
Ni  0.833  0.167  0.376
Ni  0.833  0.665  0.124
Ni  0.833  0.665  0.376

Principal peaks in the range 10 to 90 degrees two-theta, most intense first:
43.2°, I 100; 35.3°, I 48; 36.4°, I 41; 45.8°, I 36; 42.7°, I 33; 70.2°, I 22; 77.3°, I 20; 64.8°, I 16; 69.2°, I 14; 42.3°, I 11; 45.4°, I 10; 30.8°, I 8

No. 7
For Y7RhSe5, a GGA-PBE-relaxed structure gives the simulated powder diffraction line list in this record (Cu Ka).
Neutral-atom scattering factors, no anomalous dispersion.

Atomic structure:
Lattice parameters (Å, degrees): 7.010 7.010 24.452 90.00 90.00 147.19
Sites, in units of the cell vectors:
Y  0.044  0.956  0.500
Y  0.139  0.861  0.212
Y  0.140  0.860  0.788
Y  0.295  0.705  0.431
Y  0.296  0.704  0.569
Y  0.410  0.590  0.133
Y  0.411  0.589  0.867
Y  0.589  0.411  0.367
Y  0.590  0.410  0.633
Y  0.704  0.296  0.069
Y  0.705  0.295  0.931
Y  0.860  0.140  0.288
Y  0.861  0.139  0.712
Y  0.956  0.044  0.000
Rh  0.309  0.691  0.001
Rh  0.691  0.309  0.501
Se  0.057  0.943  0.106
Se  0.058  0.942  0.894
Se  0.220  0.780  0.321
Se  0.221  0.779  0.679
Se  0.499  0.501  0.250
Se  0.501  0.499  0.750
Se  0.779  0.221  0.179
Se  0.780  0.220  0.821
Se  0.942  0.058  0.394
Se  0.943  0.057  0.606

Principal peaks in the range 10 to 90 degrees two-theta, most intense first:
32.1°, I 100; 31.0°, I 89; 28.8°, I 57; 40.8°, I 40; 45.8°, I 34; 30.3°, I 32; 44.7°, I 30; 44.5°, I 26; 44.0°, I 23; 55.0°, I 18; 65.8°, I 16; 77.7°, I 14

No. 8
For Tb7Sb2Ir2, a GGA-PBE-relaxed structure gives the simulated powder diffraction line list in this record (Cu Ka).
Neutral-atom scattering factors, no anomalous dispersion.

Atomic structure:
Lattice parameters (Å, degrees): 6.864 6.864 7.124 90.00 90.00 100.94
Sites, in units of the cell vectors:
Tb  0.000  0.000  0.000
Tb  0.000  0.500  0.244
Tb  0.000  0.500  0.756
Tb  0.500  0.000  0.244
Tb  0.500  0.000  0.756
Tb  0.500  0.500  0.234
Tb  0.500  0.500  0.766
Sb  0.207  0.207  0.500
Sb  0.793  0.793  0.500
Ir  0.278  0.722  0.000
Ir  0.722  0.278  0.000

Principal peaks in the range 10 to 90 degrees two-theta, most intense first:
36.7°, I 100; 23.9°, I 47; 33.9°, I 46; 37.3°, I 27; 41.3°, I 25; 28.3°, I 24; 12.4°, I 22; 20.9°, I 22; 54.5°, I 20; 26.5°, I 19; 41.9°, I 17; 51.3°, I 16

No. 9
For NaSbO7, a GGA-PBE-relaxed structure gives the simulated powder diffraction line list in this record (Cu Ka).
Neutral-atom scattering factors, no anomalous dispersion.

Atomic structure:
Lattice parameters (Å, degrees): 6.483 6.483 6.707 90.00 90.00 116.84
Sites, in units of the cell vectors:
Na  0.245  0.755  0.500
Na  0.755  0.245  0.000
Sb  0.373  0.627  0.025
Sb  0.627  0.373  0.525
O  0.021  0.979  0.075
O  0.103  0.461  0.201
O  0.109  0.891  0.963
O  0.151  0.421  0.817
O  0.421  0.151  0.317
O  0.453  0.547  0.570
O  0.461  0.103  0.701
O  0.539  0.897  0.201
O  0.547  0.453  0.070
O  0.579  0.849  0.817
O  0.849  0.579  0.317
O  0.891  0.109  0.463
O  0.897  0.539  0.701
O  0.979  0.021  0.575

Principal peaks in the range 10 to 90 degrees two-theta, most intense first:
20.8°, I 100; 15.3°, I 94; 20.3°, I 91; 37.7°, I 85; 30.7°, I 78; 26.3°, I 39; 26.6°, I 38; 27.6°, I 36; 45.2°, I 32; 30.8°, I 30; 51.7°, I 29; 33.7°, I 26